Er2Tm6Fe: computed X-ray powder pattern (copper Kα), based on a crystal structure in Alexandria, relaxed with GGA-PBE.

Main lines, low angle first (2θ = 10–90°):
2θ 22.3, 3.983 Å, rel. 14; 2θ 28.3, 3.150 Å, rel. 34; 2θ 32.1, 2.792 Å, rel. 53; 2θ 32.2, 2.781 Å, rel. 31; 2θ 33.8, 2.655 Å, rel. 100; 2θ 34.5, 2.599 Å, rel. 54; 2θ 38.9, 2.317 Å, rel. 19; 2θ 39.4, 2.289 Å, rel. 32; 2θ 53.4, 1.715 Å, rel. 14; 2θ 55.3, 1.662 Å, rel. 14; 2θ 63.7, 1.461 Å, rel. 15; 2θ 64.7, 1.441 Å, rel. 24

Atomic structure:
```
Er2Tm6Fe
1.0
4.5271 -8.3765 0.0000
4.5271 8.3765 0.0000
0.0000 0.0000 3.4298
Er Tm Fe
2 6 1
direct
0.1798 0.8202 0.0000
0.8202 0.1798 0.0000
0.1685 0.4869 0.5000
0.2203 0.2203 0.0000
0.4869 0.1685 0.5000
0.5131 0.8315 0.5000
0.7797 0.7797 0.0000
0.8315 0.5131 0.5000
0.5000 0.5000 0.5000
```